Computed powder diffraction line list
Compound: La3Co4
Radiation: Cu Kα
Structure: a PBE-relaxed structure
Peak positions follow from Bragg's law for the DFT cell and can differ from measured ones.

Structural model:
```
La3Co4
1.0
4.0126 0.0000 0.0000
0.0000 4.1837 0.0000
0.0000 0.0000 17.6480
La Co
6 8
direct
0.0000 0.0000 0.0000
0.0000 0.5000 0.3167
0.0000 0.5000 0.6833
0.5000 0.0000 0.1833
0.5000 0.0000 0.8167
0.5000 0.5000 0.5000
0.0000 0.0000 0.4340
0.0000 0.0000 0.5660
0.0000 0.5000 0.1302
0.0000 0.5000 0.8698
0.5000 0.0000 0.3698
0.5000 0.0000 0.6302
0.5000 0.5000 0.0660
0.5000 0.5000 0.9340
```

Main lines, by angle (2θ from 10° to 90°):
2θ (°)	I/Imax	h k l
26.90	32	1 0 3
32.54	100	1 1 2
33.21	72	0 1 5
37.14	32	1 1 4
43.25	29	0 2 0
57.22	29	2 1 5